# 1
Nd2Y5Ho4: theoretical powder XRD pattern (λ = 1.5418 Å (Cu Kα)), based on a structure optimized by DFT (PBE).

Largest 10 diffraction maxima, low angle first, 2θ = 10–90°:
- 2θ = 26.67°, d 3.342, rel. 36.5
- 2θ = 28.86°, d 3.094, rel. 30.6
- 2θ = 29.98°, d 2.981, rel. 59.8
- 2θ = 30.44°, d 2.937, rel. 68.3
- 2θ = 30.95°, d 2.889, rel. 100.0
- 2θ = 31.44°, d 2.846, rel. 57.4
- 2θ = 31.94°, d 2.802, rel. 27.7
- 2θ = 32.25°, d 2.776, rel. 89.6
- 2θ = 32.76°, d 2.734, rel. 70.3
- 2θ = 32.88°, d 2.724, rel. 33.3

Crystal structure
```
data_Nd2Y5Ho4
_chemical_formula_sum 'Nd2 Y5 Ho4'
_symmetry_space_group_name_H-M 'P 1'
_symmetry_Int_Tables_number 1
_cell_length_a 8.938
_cell_length_b 8.938
_cell_length_c 6.674
_cell_angle_alpha 98.93
_cell_angle_beta 98.93
_cell_angle_gamma 43.92
loop_
_symmetry_equiv_pos_as_xyz
'x,y,z'
loop_
_atom_site_label
_atom_site_type_symbol
_atom_site_fract_x
_atom_site_fract_y
_atom_site_fract_z
_atom_site_occupancy
Nd1 Nd 0.202 0.202 0.297 1
Nd2 Nd 0.798 0.798 0.703 1
Y1 Y 0.000 0.000 0.500 1
Y2 Y 0.173 0.648 0.092 1
Y3 Y 0.352 0.827 0.908 1
Y4 Y 0.648 0.173 0.092 1
Y5 Y 0.827 0.352 0.908 1
Ho1 Ho 0.244 0.244 0.803 1
Ho2 Ho 0.413 0.413 0.595 1
Ho3 Ho 0.587 0.587 0.405 1
Ho4 Ho 0.756 0.756 0.197 1
```

=====

# 2
Nd7Y3Ho: theoretical powder XRD pattern (λ = 1.5418 Å (Cu Kα)), based on a structure optimized by DFT (PBE).

Largest 10 diffraction maxima, low angle first, 2θ = 10–90°:
- 2θ = 28.63°, d 3.118, rel. 19.6
- 2θ = 29.28°, d 3.050, rel. 21.1
- 2θ = 30.90°, d 2.894, rel. 52.2
- 2θ = 31.58°, d 2.833, rel. 100.0
- 2θ = 33.08°, d 2.708, rel. 30.6
- 2θ = 33.36°, d 2.686, rel. 54.1
- 2θ = 37.43°, d 2.403, rel. 14.6
- 2θ = 50.11°, d 1.821, rel. 25.7
- 2θ = 59.89°, d 1.544, rel. 14.6
- 2θ = 60.18°, d 1.538, rel. 19.7

Crystal structure
```
data_Nd7Y3Ho
_chemical_formula_sum 'Nd14 Y6 Ho2'
_symmetry_space_group_name_H-M 'P 1'
_symmetry_Int_Tables_number 1
_cell_length_a 10.326
_cell_length_b 10.326
_cell_length_c 12.641
_cell_angle_alpha 114.37
_cell_angle_beta 114.37
_cell_angle_gamma 41.02
loop_
_symmetry_equiv_pos_as_xyz
'x,y,z'
loop_
_atom_site_label
_atom_site_type_symbol
_atom_site_fract_x
_atom_site_fract_y
_atom_site_fract_z
_atom_site_occupancy
Nd1 Nd 0.080 0.586 0.973 1
Nd2 Nd 0.081 0.584 0.472 1
Nd3 Nd 0.216 0.784 0.750 1
Nd4 Nd 0.337 0.344 0.225 1
Nd5 Nd 0.344 0.337 0.725 1
Nd6 Nd 0.414 0.920 0.527 1
Nd7 Nd 0.416 0.919 0.028 1
Nd8 Nd 0.584 0.081 0.972 1
Nd9 Nd 0.586 0.080 0.473 1
Nd10 Nd 0.656 0.663 0.275 1
Nd11 Nd 0.663 0.656 0.775 1
Nd12 Nd 0.784 0.216 0.250 1
Nd13 Nd 0.919 0.416 0.528 1
Nd14 Nd 0.920 0.414 0.027 1
Y1 Y 0.168 0.171 0.274 1
Y2 Y 0.171 0.168 0.774 1
Y3 Y 0.500 0.500 0.000 1
Y4 Y 0.500 0.500 0.500 1
Y5 Y 0.829 0.832 0.226 1
Y6 Y 0.832 0.829 0.726 1
Ho1 Ho 0.000 0.000 0.000 1
Ho2 Ho 0.000 0.000 0.500 1
```

=====

# 3
Nd6Ho2Zn: theoretical powder XRD pattern (λ = 1.5418 Å (Cu Kα)), based on a structure optimized by DFT (PBE).

Largest 10 diffraction maxima, low angle first, 2θ = 10–90°:
- 2θ = 30.73°, d 2.910, rel. 100.0
- 2θ = 31.28°, d 2.860, rel. 29.8
- 2θ = 31.96°, d 2.801, rel. 64.9
- 2θ = 32.75°, d 2.734, rel. 38.6
- 2θ = 36.99°, d 2.430, rel. 17.0
- 2θ = 45.92°, d 1.976, rel. 20.6
- 2θ = 50.23°, d 1.816, rel. 14.2
- 2θ = 57.21°, d 1.610, rel. 17.3
- 2θ = 59.13°, d 1.562, rel. 18.7
- 2θ = 64.70°, d 1.441, rel. 14.1

Crystal structure
```
data_Nd6Ho2Zn
_chemical_formula_sum 'Nd12 Ho4 Zn2'
_symmetry_space_group_name_H-M 'P 1'
_symmetry_Int_Tables_number 1
_cell_length_a 10.303
_cell_length_b 10.319
_cell_length_c 5.468
_cell_angle_alpha 90.00
_cell_angle_beta 90.00
_cell_angle_gamma 90.00
loop_
_symmetry_equiv_pos_as_xyz
'x,y,z'
loop_
_atom_site_label
_atom_site_type_symbol
_atom_site_fract_x
_atom_site_fract_y
_atom_site_fract_z
_atom_site_occupancy
Nd1 Nd 0.040 0.188 0.000 1
Nd2 Nd 0.123 0.621 0.500 1
Nd3 Nd 0.187 0.957 0.500 1
Nd4 Nd 0.313 0.457 0.000 1
Nd5 Nd 0.377 0.121 0.000 1
Nd6 Nd 0.460 0.688 0.500 1
Nd7 Nd 0.540 0.312 0.500 1
Nd8 Nd 0.623 0.879 0.000 1
Nd9 Nd 0.687 0.543 0.000 1
Nd10 Nd 0.813 0.043 0.500 1
Nd11 Nd 0.877 0.379 0.500 1
Nd12 Nd 0.960 0.812 0.000 1
Ho1 Ho 0.214 0.283 0.500 1
Ho2 Ho 0.286 0.783 0.000 1
Ho3 Ho 0.714 0.217 0.000 1
Ho4 Ho 0.786 0.717 0.500 1
Zn1 Zn 0.000 0.500 0.000 1
Zn2 Zn 0.500 0.000 0.500 1
```

=====

# 4
Nd2Ho6Zn: theoretical powder XRD pattern (λ = 1.5418 Å (Cu Kα)), based on a structure optimized by DFT (PBE).

Largest 10 diffraction maxima, low angle first, 2θ = 10–90°:
- 2θ = 26.13°, d 3.411, rel. 8.7
- 2θ = 31.05°, d 2.880, rel. 16.1
- 2θ = 32.15°, d 2.784, rel. 100.0
- 2θ = 32.42°, d 2.762, rel. 58.9
- 2θ = 33.09°, d 2.708, rel. 40.7
- 2θ = 46.77°, d 1.942, rel. 19.4
- 2θ = 57.37°, d 1.606, rel. 8.1
- 2θ = 57.58°, d 1.601, rel. 10.6
- 2θ = 58.52°, d 1.577, rel. 13.2
- 2θ = 58.67°, d 1.573, rel. 10.9

Crystal structure
```
data_Nd2Ho6Zn
_chemical_formula_sum 'Nd4 Ho12 Zn2'
_symmetry_space_group_name_H-M 'P 1'
_symmetry_Int_Tables_number 1
_cell_length_a 9.729
_cell_length_b 10.205
_cell_length_c 5.415
_cell_angle_alpha 90.00
_cell_angle_beta 90.00
_cell_angle_gamma 90.00
loop_
_symmetry_equiv_pos_as_xyz
'x,y,z'
loop_
_atom_site_label
_atom_site_type_symbol
_atom_site_fract_x
_atom_site_fract_y
_atom_site_fract_z
_atom_site_occupancy
Nd1 Nd 0.188 0.250 0.000 1
Nd2 Nd 0.312 0.750 0.500 1
Nd3 Nd 0.688 0.250 0.500 1
Nd4 Nd 0.812 0.750 0.000 1
Ho1 Ho 0.015 0.187 0.500 1
Ho2 Ho 0.136 0.602 0.000 1
Ho3 Ho 0.190 0.926 0.000 1
Ho4 Ho 0.310 0.426 0.500 1
Ho5 Ho 0.364 0.102 0.500 1
Ho6 Ho 0.485 0.687 0.000 1
Ho7 Ho 0.515 0.313 0.000 1
Ho8 Ho 0.636 0.898 0.500 1
Ho9 Ho 0.690 0.574 0.500 1
Ho10 Ho 0.810 0.074 0.000 1
Ho11 Ho 0.864 0.398 0.000 1
Ho12 Ho 0.985 0.813 0.500 1
Zn1 Zn 0.000 0.500 0.500 1
Zn2 Zn 0.500 0.000 0.000 1
```

=====

# 5
Nd2Ho3Zn2: theoretical powder XRD pattern (λ = 1.5418 Å (Cu Kα)), based on a structure optimized by DFT (PBE).

Largest 10 diffraction maxima, low angle first, 2θ = 10–90°:
- 2θ = 26.06°, d 3.420, rel. 18.3
- 2θ = 29.36°, d 3.042, rel. 22.1
- 2θ = 30.81°, d 2.902, rel. 32.8
- 2θ = 32.11°, d 2.787, rel. 100.0
- 2θ = 34.62°, d 2.591, rel. 62.7
- 2θ = 35.54°, d 2.526, rel. 90.8
- 2θ = 50.24°, d 1.816, rel. 18.0
- 2θ = 58.26°, d 1.584, rel. 22.5
- 2θ = 62.13°, d 1.494, rel. 29.9
- 2θ = 62.45°, d 1.487, rel. 22.5

Crystal structure
```
data_Nd2Ho3Zn2
_chemical_formula_sum 'Nd4 Ho6 Zn4'
_symmetry_space_group_name_H-M 'P 1'
_symmetry_Int_Tables_number 1
_cell_length_a 3.632
_cell_length_b 30.424
_cell_length_c 3.539
_cell_angle_alpha 90.00
_cell_angle_beta 90.00
_cell_angle_gamma 90.00
loop_
_symmetry_equiv_pos_as_xyz
'x,y,z'
loop_
_atom_site_label
_atom_site_type_symbol
_atom_site_fract_x
_atom_site_fract_y
_atom_site_fract_z
_atom_site_occupancy
Nd1 Nd 0.000 0.199 0.000 1
Nd2 Nd 0.000 0.801 0.000 1
Nd3 Nd 0.500 0.301 0.000 1
Nd4 Nd 0.500 0.699 0.000 1
Ho1 Ho 0.000 0.081 0.000 1
Ho2 Ho 0.000 0.500 0.500 1
Ho3 Ho 0.000 0.919 0.000 1
Ho4 Ho 0.500 0.000 0.500 1
Ho5 Ho 0.500 0.419 0.000 1
Ho6 Ho 0.500 0.581 0.000 1
Zn1 Zn 0.000 0.364 0.500 1
Zn2 Zn 0.000 0.636 0.500 1
Zn3 Zn 0.500 0.136 0.500 1
Zn4 Zn 0.500 0.864 0.500 1
```

=====

# 6
NdHo4Zn: theoretical powder XRD pattern (λ = 1.5418 Å (Cu Kα)), based on a structure optimized by DFT (PBE).

Largest 10 diffraction maxima, low angle first, 2θ = 10–90°:
- 2θ = 28.25°, d 3.159, rel. 19.7
- 2θ = 31.88°, d 2.807, rel. 100.0
- 2θ = 32.73°, d 2.736, rel. 13.5
- 2θ = 35.64°, d 2.519, rel. 48.2
- 2θ = 49.17°, d 1.853, rel. 17.4
- 2θ = 51.29°, d 1.781, rel. 17.1
- 2θ = 54.27°, d 1.690, rel. 9.1
- 2θ = 60.01°, d 1.542, rel. 14.9
- 2θ = 61.67°, d 1.504, rel. 30.2
- 2θ = 82.81°, d 1.166, rel. 12.1

Crystal structure
```
data_NdHo4Zn
_chemical_formula_sum 'Nd1 Ho4 Zn1'
_symmetry_space_group_name_H-M 'P 1'
_symmetry_Int_Tables_number 1
_cell_length_a 3.562
_cell_length_b 3.562
_cell_length_c 13.679
_cell_angle_alpha 90.00
_cell_angle_beta 90.00
_cell_angle_gamma 90.00
loop_
_symmetry_equiv_pos_as_xyz
'x,y,z'
loop_
_atom_site_label
_atom_site_type_symbol
_atom_site_fract_x
_atom_site_fract_y
_atom_site_fract_z
_atom_site_occupancy
Nd1 Nd 0.000 0.000 0.000 1
Ho1 Ho 0.000 0.000 0.372 1
Ho2 Ho 0.000 0.000 0.628 1
Ho3 Ho 0.500 0.500 0.187 1
Ho4 Ho 0.500 0.500 0.813 1
Zn1 Zn 0.500 0.500 0.500 1
```

=====

# 7
Nd9Ho4Zn11: theoretical powder XRD pattern (λ = 1.5418 Å (Cu Kα)), based on a structure optimized by DFT (PBE).

Largest 10 diffraction maxima, low angle first, 2θ = 10–90°:
- 2θ = 24.18°, d 3.681, rel. 18.0
- 2θ = 25.22°, d 3.531, rel. 25.8
- 2θ = 33.77°, d 2.654, rel. 100.0
- 2θ = 34.55°, d 2.596, rel. 88.2
- 2θ = 35.22°, d 2.548, rel. 84.6
- 2θ = 42.62°, d 2.122, rel. 21.7
- 2θ = 51.78°, d 1.765, rel. 20.1
- 2θ = 60.48°, d 1.531, rel. 15.8
- 2θ = 61.79°, d 1.501, rel. 17.3
- 2θ = 63.27°, d 1.470, rel. 31.9

Crystal structure
```
data_Nd9Ho4Zn11
_chemical_formula_sum 'Nd9 Ho4 Zn11'
_symmetry_space_group_name_H-M 'P 1'
_symmetry_Int_Tables_number 1
_cell_length_a 13.440
_cell_length_b 13.440
_cell_length_c 3.531
_cell_angle_alpha 90.00
_cell_angle_beta 90.00
_cell_angle_gamma 110.52
loop_
_symmetry_equiv_pos_as_xyz
'x,y,z'
loop_
_atom_site_label
_atom_site_type_symbol
_atom_site_fract_x
_atom_site_fract_y
_atom_site_fract_z
_atom_site_occupancy
Nd1 Nd 0.000 0.000 0.000 1
Nd2 Nd 0.127 0.642 0.000 1
Nd3 Nd 0.293 0.464 0.000 1
Nd4 Nd 0.358 0.873 0.000 1
Nd5 Nd 0.464 0.293 0.000 1
Nd6 Nd 0.536 0.707 0.000 1
Nd7 Nd 0.642 0.127 0.000 1
Nd8 Nd 0.707 0.536 0.000 1
Nd9 Nd 0.873 0.358 0.000 1
Ho1 Ho 0.063 0.249 0.000 1
Ho2 Ho 0.249 0.063 0.000 1
Ho3 Ho 0.751 0.937 0.000 1
Ho4 Ho 0.937 0.751 0.000 1
Zn1 Zn 0.083 0.439 0.500 1
Zn2 Zn 0.135 0.865 0.500 1
Zn3 Zn 0.247 0.247 0.500 1
Zn4 Zn 0.332 0.668 0.500 1
Zn5 Zn 0.439 0.083 0.500 1
Zn6 Zn 0.500 0.500 0.500 1
Zn7 Zn 0.561 0.917 0.500 1
Zn8 Zn 0.668 0.332 0.500 1
Zn9 Zn 0.753 0.753 0.500 1
Zn10 Zn 0.865 0.135 0.500 1
Zn11 Zn 0.917 0.561 0.500 1
```

=====

# 8
NdHo2Zr: theoretical powder XRD pattern (λ = 1.5418 Å (Cu Kα)), based on a structure optimized by DFT (PBE).

Largest 10 diffraction maxima, low angle first, 2θ = 10–90°:
- 2θ = 29.82°, d 2.996, rel. 14.4
- 2θ = 30.18°, d 2.961, rel. 21.5
- 2θ = 31.61°, d 2.831, rel. 64.4
- 2θ = 32.56°, d 2.750, rel. 100.0
- 2θ = 35.11°, d 2.556, rel. 58.5
- 2θ = 40.06°, d 2.251, rel. 21.8
- 2θ = 52.74°, d 1.736, rel. 44.1
- 2θ = 55.22°, d 1.663, rel. 23.2
- 2θ = 62.79°, d 1.480, rel. 38.3
- 2θ = 63.35°, d 1.468, rel. 14.7

Crystal structure
```
data_NdHo2Zr
_chemical_formula_sum 'Nd3 Ho6 Zr3'
_symmetry_space_group_name_H-M 'P 1'
_symmetry_Int_Tables_number 1
_cell_length_a 3.473
_cell_length_b 3.473
_cell_length_c 33.944
_cell_angle_alpha 90.00
_cell_angle_beta 90.00
_cell_angle_gamma 120.00
loop_
_symmetry_equiv_pos_as_xyz
'x,y,z'
loop_
_atom_site_label
_atom_site_type_symbol
_atom_site_fract_x
_atom_site_fract_y
_atom_site_fract_z
_atom_site_occupancy
Nd1 Nd 0.000 0.000 0.000 1
Nd2 Nd 0.333 0.667 0.667 1
Nd3 Nd 0.667 0.333 0.333 1
Ho1 Ho 0.000 0.000 0.577 1
Ho2 Ho 0.000 0.000 0.756 1
Ho3 Ho 0.333 0.667 0.243 1
Ho4 Ho 0.333 0.667 0.423 1
Ho5 Ho 0.667 0.333 0.089 1
Ho6 Ho 0.667 0.333 0.910 1
Zr1 Zr 0.000 0.000 0.166 1
Zr2 Zr 0.333 0.667 0.833 1
Zr3 Zr 0.667 0.333 0.500 1
```